Starting from the PBE geometry in Alexandria, the X-ray powder pattern of Nb13Sn3 was computed for CuKα.

Principal peaks in the range 2θ = 10–90°, most intense first:
(2 2 2), 2θ 37.61, intensity 100
(0 4 0), 2θ 39.15, intensity 18
(2 2 6), 2θ 67.93, intensity 13
(0 4 4), 2θ 55.44, intensity 13
(2 6 2), 2θ 69.92, intensity 12
(4 4 4), 2θ 80.25, intensity 8
(4 0 0), 2θ 52.98, intensity 7
(4 0 4), 2θ 66.81, intensity 7
(4 4 0), 2θ 67.81, intensity 7
(0 0 8), 2θ 80.39, intensity 2

Crystal structure
a = 6.9134 Å, b = 9.2043 Å, c = 9.5559 Å
α = 90.00°, β = 90.00°, γ = 90.00°
Space group Amm2 (No. 38)
Inequivalent atoms, fractional coordinates:
Nb  0.0000  0.0000  0.0000
Nb  0.0000  0.0000  0.5096
Nb  0.0000  0.2410  0.7509
Nb  0.2446  0.0000  0.7507
Nb  0.2465  0.2463  0.5051
Nb  0.5000  0.0000  0.5063
Nb  0.5000  0.2419  0.7485
Sn  0.2459  0.0000  0.2615
Sn  0.5000  0.0000  0.9869

Starting from the PBE geometry in Alexandria, the X-ray powder pattern of Bi2C2BrO6 was computed for CuKα.

Principal peaks in the range 2θ = 10–90°, most intense first:
(0 0 1), 2θ 15.44, intensity 100
(1 1 0), 2θ 29.25, intensity 52
(1 -2 0), 2θ 31.32, intensity 42
(2 -1 0), 2θ 31.72, intensity 30
(1 1 -1), 2θ 26.92, intensity 29
(0 1 -3), 2θ 41.81, intensity 26
(0 1 -2), 2θ 27.38, intensity 25
(1 -1 1), 2θ 20.98, intensity 21
(1 -1 0), 2θ 18.45, intensity 20
(1 -2 1), 2θ 28.64, intensity 19

Crystal structure
a = 5.6572 Å, b = 6.3872 Å, c = 6.5374 Å
α = 116.12°, β = 90.47°, γ = 112.23°
Space group P-1 (No. 2)
Inequivalent atoms, fractional coordinates:
Bi  0.1790  0.3263  0.0945
C  0.1686  0.3300  0.6523
Br  0.5000  0.0000  0.0000
O  0.0249  0.6699  0.2348
O  0.1636  0.3278  0.4599
O  0.3650  0.3278  0.7614

Starting from the PBE geometry in Alexandria, the X-ray powder pattern of BC3 was computed for CuKα.

Principal peaks in the range 2θ = 10–90°, most intense first:
(1 1 -2), 2θ 42.58, intensity 100
(2 0 2), 2θ 43.01, intensity 53
(4 0 -2), 2θ 42.86, intensity 47
(1 1 4), 2θ 72.06, intensity 27
(5 1 -4), 2θ 71.85, intensity 24
(0 0 1), 2θ 12.88, intensity 23
(0 2 0), 2θ 74.76, intensity 13
(6 0 0), 2θ 75.76, intensity 12
(3 1 -6), 2θ 84.20, intensity 11
(0 0 6), 2θ 84.57, intensity 4

Crystal structure
a = 8.4819 Å, b = 2.5397 Å, c = 7.7404 Å
α = 90.00°, β = 117.36°, γ = 90.00°
Space group Cm (No. 8)
Inequivalent atoms, fractional coordinates:
B  0.0000  0.0000  0.0000
B  0.1465  0.5000  0.3385
B  0.3280  0.0000  0.1774
C  0.1486  0.0000  0.4776
C  0.1629  0.5000  0.8293
C  0.1663  0.0000  0.9423
C  0.3218  0.0000  0.6678
C  0.3215  0.5000  0.3098
C  0.3235  0.5000  0.7824
C  0.4858  0.0000  0.1147
C  0.4864  0.0000  0.6295
C  0.4855  0.5000  0.5112

Starting from the PBE geometry in Alexandria, the X-ray powder pattern of CdRu4 was computed for CuKα.

Principal peaks in the range 2θ = 10–90°, most intense first:
(1 1 2), 2θ 36.55, intensity 100
(2 0 0), 2θ 47.04, intensity 47
(1 0 5), 2θ 46.62, intensity 36
(1 0 3), 2θ 33.25, intensity 33
(1 1 4), 2θ 46.27, intensity 26
(2 1 5), 2θ 68.39, intensity 22
(3 1 2), 2θ 80.43, intensity 19
(2 2 0), 2θ 68.72, intensity 15
(2 1 3), 2θ 58.82, intensity 12
(2 0 8), 2θ 85.21, intensity 10

Crystal structure
a = 3.8634 Å, b = 3.8634 Å, c = 11.2792 Å
α = 90.00°, β = 90.00°, γ = 90.00°
Space group I4/mmm (No. 139)
Inequivalent atoms, fractional coordinates:
Cd  0.0000  0.0000  0.0000
Ru  0.0000  0.0000  0.3966
Ru  0.0000  0.5000  0.2500

Starting from the PBE geometry in Alexandria, the X-ray powder pattern of Li6HgPt2 was computed for CuKα.

Principal peaks in the range 2θ = 10–90°, most intense first:
(1 1 0), 2θ 23.58, intensity 100
(1 1 1), 2θ 41.09, intensity 53
(3 0 0), 2θ 41.45, intensity 27
(3 0 1), 2θ 54.07, intensity 21
(4 1 1), 2θ 75.35, intensity 18
(2 2 1), 2θ 59.78, intensity 18
(2 2 0), 2θ 48.23, intensity 15
(0 0 1), 2θ 33.16, intensity 13
(4 1 0), 2θ 65.44, intensity 12
(1 1 2), 2θ 74.62, intensity 9

Crystal structure
a = 7.5471 Å, b = 7.5471 Å, c = 2.7018 Å
α = 90.00°, β = 90.00°, γ = 120.00°
Space group P6/mmm (No. 191)
Inequivalent atoms, fractional coordinates:
Li  0.0000  0.3451  0.0000
Hg  0.0000  0.0000  0.5000
Pt  0.3333  0.6667  0.5000

Starting from the PBE geometry in Alexandria, the X-ray powder pattern of Li8Cd3Sn4 was computed for CuKα.

Principal peaks in the range 2θ = 10–90°, most intense first:
(2 0 0), 2θ 26.76, intensity 100
(2 2 0), 2θ 38.21, intensity 95
(4 2 0), 2θ 62.32, intensity 38
(4 2 2), 2θ 69.06, intensity 33
(2 2 2), 2θ 47.26, intensity 29
(6 0 0), 2θ 87.93, intensity 20
(4 0 0), 2θ 55.14, intensity 16
(4 4 0), 2θ 81.77, intensity 11
(1 1 0), 2θ 18.84, intensity 10
(1 0 0), 2θ 13.29, intensity 10

Crystal structure
a = 6.6629 Å, b = 6.6629 Å, c = 6.6629 Å
α = 90.00°, β = 90.00°, γ = 90.00°
Space group Pm-3m (No. 221)
Inequivalent atoms, fractional coordinates:
Li  0.2311  0.2311  0.2311
Cd  0.0000  0.5000  0.5000
Sn  0.0000  0.0000  0.5000
Sn  0.5000  0.5000  0.5000